(1)
This entry pairs a crystal structure of Rb2Ge3 with its simulated powder diffractogram. Radiation: Cu Kα X-rays. Structure: DFT lattice parameters and positions (GGA-PBE).
Lines closer than 0.1° are merged.

Atomic structure:
abc: 8.5771 6.6207 9.5449
angles: 60.95 42.44 76.61
Fractional coordinates of all 10 atoms:
Rb1 0.1050 0.8950 0.2749
Rb2 0.5249 0.9751 0.3550
Rb3 0.8950 0.1050 0.7251
Rb4 0.9751 0.5249 0.1450
Ge1 0.2682 0.2682 0.7318
Ge2 0.4490 0.5442 0.3000
Ge3 0.5182 0.5182 0.9818
Ge4 0.5431 0.9500 0.7058
Ge5 0.5442 0.4490 0.7069
Ge6 0.9500 0.5431 0.8010

Largest 12 diffraction maxima, low angle first, 10° ≤ 2θ ≤ 80°:
2θ = 15.7°, intensity 22.4; 2θ = 27.1°, intensity 57.9; 2θ = 27.7°, intensity 23.6; 2θ = 28.0°, intensity 30.8; 2θ = 31.7°, intensity 100.0; 2θ = 32.2°, intensity 60.9; 2θ = 32.4°, intensity 47.5; 2θ = 34.4°, intensity 43.9; 2θ = 37.6°, intensity 27.8; 2θ = 43.4°, intensity 28.4; 2θ = 48.4°, intensity 38.7; 2θ = 55.9°, intensity 29.9

(2)
This entry pairs a crystal structure of Nd12Dy5Tm2 with its simulated powder diffractogram. Radiation: Cu Kα X-rays. Structure: DFT lattice parameters and positions (GGA-PBE).
Lines closer than 0.1° are merged.

Atomic structure:
abc: 9.2749 9.2749 8.0879
angles: 93.35 93.35 70.18
Fractional coordinates of all 19 atoms:
Nd1 0.0549 0.0549 0.2118
Nd2 0.0903 0.5407 0.7077
Nd3 0.1210 0.6661 0.1153
Nd4 0.3339 0.8790 0.8847
Nd5 0.3705 0.3705 0.3965
Nd6 0.4593 0.9097 0.2923
Nd7 0.5407 0.0903 0.7077
Nd8 0.6295 0.6295 0.6035
Nd9 0.6661 0.1210 0.1153
Nd10 0.8790 0.3339 0.8847
Nd11 0.9097 0.4593 0.2923
Nd12 0.9451 0.9451 0.7882
Dy1 0.1564 0.1564 0.5957
Dy2 0.2586 0.2586 0.0135
Dy3 0.5000 0.5000 0.0000
Dy4 0.7414 0.7414 0.9865
Dy5 0.8436 0.8436 0.4043
Tm1 0.2284 0.7716 0.5000
Tm2 0.7716 0.2284 0.5000

Largest 12 diffraction maxima, low angle first, 10° ≤ 2θ ≤ 80°:
2θ = 30.4°, intensity 100.0; 2θ = 30.8°, intensity 78.1; 2θ = 33.6°, intensity 38.1; 2θ = 34.6°, intensity 29.9; 2θ = 38.1°, intensity 19.9; 2θ = 49.0°, intensity 18.3; 2θ = 51.7°, intensity 13.9; 2θ = 52.9°, intensity 10.9; 2θ = 58.1°, intensity 11.1; 2θ = 59.2°, intensity 12.5; 2θ = 59.9°, intensity 14.9; 2θ = 64.2°, intensity 10.1

(3)
This entry pairs a crystal structure of LiCd4Cu with its simulated powder diffractogram. Radiation: Cu Kα X-rays. Structure: DFT lattice parameters and positions (GGA-PBE).
Lines closer than 0.1° are merged.

Atomic structure:
abc: 6.6870 4.4262 4.4262
angles: 90.01 90.00 90.00
Fractional coordinates of all 6 atoms:
Li1 0.0000 0.0000 0.0000
Cd1 0.2584 0.4998 0.9990
Cd2 0.2584 0.9990 0.4998
Cd3 0.7416 0.4998 0.9990
Cd4 0.7416 0.9990 0.4998
Cu1 0.5000 0.4989 0.4989

Largest 12 diffraction maxima, low angle first, 10° ≤ 2θ ≤ 80°:
2θ = 13.2°, intensity 10.0; 2θ = 26.7°, intensity 37.1; 2θ = 28.5°, intensity 63.3; 2θ = 39.4°, intensity 100.0; 2θ = 40.8°, intensity 45.8; 2θ = 49.4°, intensity 26.5; 2θ = 59.0°, intensity 15.0; 2θ = 63.0°, intensity 12.0; 2θ = 65.9°, intensity 10.7; 2θ = 66.8°, intensity 10.4; 2θ = 70.6°, intensity 16.1; 2θ = 73.3°, intensity 29.6

(4)
This entry pairs a crystal structure of Ce2Sm2Tl3 with its simulated powder diffractogram. Radiation: Cu Kα X-rays. Structure: DFT lattice parameters and positions (GGA-PBE).
Lines closer than 0.1° are merged.

Atomic structure:
abc: 12.6632 12.6632 3.5588
angles: 90.00 90.00 159.88
Fractional coordinates of all 7 atoms:
Ce1 0.2154 0.7846 0.0000
Ce2 0.7846 0.2154 0.0000
Sm1 0.0733 0.9267 0.0000
Sm2 0.9267 0.0733 0.0000
Tl1 0.3546 0.6454 0.5000
Tl2 0.5000 0.5000 0.5000
Tl3 0.6454 0.3546 0.5000

Largest 12 diffraction maxima, low angle first, 10° ≤ 2θ ≤ 80°:
2θ = 32.3°, intensity 100.0; 2θ = 32.5°, intensity 85.0; 2θ = 33.1°, intensity 46.5; 2θ = 38.4°, intensity 23.0; 2θ = 40.8°, intensity 26.7; 2θ = 51.3°, intensity 27.3; 2θ = 53.5°, intensity 24.3; 2θ = 57.3°, intensity 14.5; 2θ = 58.5°, intensity 21.0; 2θ = 62.0°, intensity 31.2; 2θ = 67.5°, intensity 24.0; 2θ = 68.9°, intensity 11.4

(5)
This entry pairs a crystal structure of SmZn2Cu8 with its simulated powder diffractogram. Radiation: Cu Kα X-rays. Structure: DFT lattice parameters and positions (GGA-PBE).
Lines closer than 0.1° are merged.

Atomic structure:
abc: 4.8024 4.8024 8.6119
angles: 90.00 90.00 90.00
Fractional coordinates of all 11 atoms:
Sm1 0.0000 0.0000 0.0000
Zn1 0.0000 0.5000 0.5000
Zn2 0.5000 0.0000 0.5000
Cu1 0.2520 0.2520 0.2776
Cu2 0.2520 0.2520 0.7224
Cu3 0.2520 0.7480 0.2776
Cu4 0.2520 0.7480 0.7224
Cu5 0.7480 0.2520 0.2776
Cu6 0.7480 0.2520 0.7224
Cu7 0.7480 0.7480 0.2776
Cu8 0.7480 0.7480 0.7224

Largest 12 diffraction maxima, low angle first, 10° ≤ 2θ ≤ 80°:
2θ = 10.3°, intensity 10.2; 2θ = 18.5°, intensity 13.7; 2θ = 20.6°, intensity 14.0; 2θ = 21.2°, intensity 22.2; 2θ = 27.8°, intensity 12.2; 2θ = 28.2°, intensity 41.3; 2θ = 41.2°, intensity 14.9; 2θ = 42.0°, intensity 21.2; 2θ = 43.1°, intensity 100.0; 2θ = 54.0°, intensity 27.0; 2θ = 62.1°, intensity 8.6; 2θ = 70.7°, intensity 17.1

(6)
This entry pairs a crystal structure of PrGe2Pd5 with its simulated powder diffractogram. Radiation: Cu Kα X-rays. Structure: DFT lattice parameters and positions (GGA-PBE).
Lines closer than 0.1° are merged.

Atomic structure:
abc: 6.4557 6.4557 6.4557
angles: 144.12 111.51 79.81
Fractional coordinates of all 8 atoms:
Pr1 0.0000 0.0000 0.0000
Ge1 0.2516 0.7516 0.5000
Ge2 0.7484 0.2484 0.5000
Pd1 0.1589 0.3528 0.8062
Pd2 0.4534 0.6472 0.8062
Pd3 0.5000 0.0000 0.5000
Pd4 0.5466 0.3528 0.1938
Pd5 0.8411 0.6472 0.1938

Largest 12 diffraction maxima, low angle first, 10° ≤ 2θ ≤ 80°:
2θ = 30.5°, intensity 12.6; 2θ = 31.4°, intensity 13.1; 2θ = 34.6°, intensity 100.0; 2θ = 35.3°, intensity 98.8; 2θ = 38.3°, intensity 12.6; 2θ = 43.8°, intensity 31.2; 2θ = 44.3°, intensity 57.2; 2θ = 44.9°, intensity 14.0; 2θ = 45.6°, intensity 39.3; 2θ = 47.6°, intensity 16.8; 2θ = 65.4°, intensity 34.9; 2θ = 76.1°, intensity 15.4